# 1
Diffraction record for LiHo4Hg2. The powder X-ray diffraction pattern is calculated, not measured: it uses DFT lattice parameters and positions (GGA-PBE) and Cu Kα X-rays.

Principal peaks in the range 2θ from 5° to 70°, low angle first:
| 2θ (°) | I/Imax |
| --- | --- |
| 20.25 | 11 |
| 20.54 | 18 |
| 24.25 | 39 |
| 31.41 | 69 |
| 34.92 | 100 |
| 40.23 | 21 |
| 40.85 | 19 |
| 47.67 | 22 |
| 60.44 | 22 |
| 62.62 | 19 |

```
LiHo4Hg2
1.0
2.5693 1.4834 8.6495
-2.5693 1.4834 8.6495
0.0000 -2.9668 8.6495
Li Ho Hg
1 4 2
Cartesian
0.0000 0.0000 0.0000 Li
0.0000 0.0000 5.5408 Ho
0.0000 0.0000 9.7043 Ho
0.0000 0.0000 16.2441 Ho
0.0000 0.0000 20.4076 Ho
0.0000 0.0000 2.4697 Hg
0.0000 0.0000 23.4787 Hg
```

# 2
Diffraction record for Ca3SnAs4. The powder X-ray diffraction pattern is calculated, not measured: it uses DFT lattice parameters and positions (GGA-PBE) and Cu Kα X-rays.

Principal peaks in the range 2θ from 5° to 70°, low angle first:
| 2θ (°) | I/Imax |
| --- | --- |
| 16.20 | 94 |
| 21.84 | 68 |
| 26.67 | 36 |
| 27.88 | 55 |
| 29.78 | 49 |
| 33.49 | 70 |
| 34.00 | 100 |
| 38.44 | 83 |
| 40.97 | 51 |
| 45.89 | 41 |

```
Ca3SnAs4
1.0
8.2480 0.0000 0.0000
0.0000 10.5474 0.0000
0.0000 0.0000 10.1449
Ca Sn As
12 4 16
Cartesian
0.6776 0.4709 2.3049 Ca
0.6776 4.8028 2.3049 Ca
1.3403 7.9105 4.3774 Ca
2.7837 2.6368 9.4499 Ca
3.4464 5.7445 7.3774 Ca
3.4464 10.0765 7.3774 Ca
4.8016 0.4709 2.7675 Ca
4.8016 4.8028 2.7675 Ca
5.4643 7.9105 0.6950 Ca
6.9077 2.6368 5.7675 Ca
7.5704 5.7445 7.8400 Ca
7.5704 10.0765 7.8400 Ca
1.8999 7.9105 9.8855 Sn
2.2241 2.6368 4.8131 Sn
6.0239 7.9105 5.3319 Sn
6.3481 2.6368 0.2594 Sn
0.0787 7.9105 1.6125 As
1.1482 0.2840 5.4572 As
1.1482 4.9897 5.4572 As
1.3119 7.9105 7.3629 As
2.8121 2.6368 2.2904 As
2.9758 5.5577 0.3847 As
2.9758 10.2633 0.3847 As
4.0453 2.6368 6.6849 As
4.2027 7.9105 3.4600 As
5.2722 0.2840 9.7602 As
5.2722 4.9897 9.7602 As
5.4359 7.9105 7.8545 As
6.9361 2.6368 2.7820 As
7.0998 5.5577 4.6878 As
7.0998 10.2633 4.6878 As
8.1693 2.6368 8.5325 As
```

# 3
Diffraction record for Ho3Ge13Ru4. The powder X-ray diffraction pattern is calculated, not measured: it uses DFT lattice parameters and positions (GGA-PBE) and Cu Kα X-rays.

Principal peaks in the range 2θ from 5° to 70°, low angle first:
| 2θ (°) | I/Imax |
| --- | --- |
| 22.01 | 16 |
| 34.41 | 22 |
| 35.86 | 100 |
| 37.26 | 38 |
| 39.94 | 34 |
| 41.23 | 11 |
| 49.46 | 19 |
| 59.72 | 13 |
| 63.52 | 15 |
| 69.00 | 21 |

```
Ho3Ge13Ru4
1.0
9.0286 0.0000 0.0000
0.0000 9.0286 0.0000
0.0000 0.0000 9.0286
Ho Ge Ru
6 26 8
Cartesian
0.0000 2.2572 4.5143 Ho
0.0000 6.7715 4.5143 Ho
2.2572 4.5143 0.0000 Ho
4.5143 0.0000 2.2572 Ho
4.5143 0.0000 6.7715 Ho
6.7715 4.5143 0.0000 Ho
0.0000 0.0000 0.0000 Ge
0.0000 2.7286 1.3313 Ge
0.0000 2.7286 7.6973 Ge
0.0000 6.3000 1.3313 Ge
0.0000 6.3000 7.6973 Ge
1.3313 0.0000 2.7286 Ge
1.3313 0.0000 6.3000 Ge
1.7857 4.5143 3.1830 Ge
1.7857 4.5143 5.8456 Ge
2.7286 1.3313 0.0000 Ge
2.7286 7.6973 0.0000 Ge
3.1830 1.7857 4.5143 Ge
3.1830 7.2429 4.5143 Ge
4.5143 3.1830 1.7857 Ge
4.5143 3.1830 7.2429 Ge
4.5143 4.5143 4.5143 Ge
4.5143 5.8456 1.7857 Ge
4.5143 5.8456 7.2429 Ge
5.8456 1.7857 4.5143 Ge
5.8456 7.2429 4.5143 Ge
6.3000 1.3313 0.0000 Ge
6.3000 7.6973 0.0000 Ge
7.2429 4.5143 3.1830 Ge
7.2429 4.5143 5.8456 Ge
7.6973 0.0000 2.7286 Ge
7.6973 0.0000 6.3000 Ge
2.2572 2.2572 2.2572 Ru
2.2572 2.2572 6.7715 Ru
2.2572 6.7715 2.2572 Ru
2.2572 6.7715 6.7715 Ru
6.7715 2.2572 2.2572 Ru
6.7715 2.2572 6.7715 Ru
6.7715 6.7715 2.2572 Ru
6.7715 6.7715 6.7715 Ru
```